Cs3NpF7: calculated X-ray diffraction stick pattern (Cu Kα (weighted mean of Kα1 and Kα2)), based on a DFT-relaxed cell (GGA-PBE, Alexandria).
Kinematic intensities with the Lorentz-polarization factor, no thermal factor.

Most intense lines, 10 to 80 degrees two-theta, sorted by position:
- 14.87°, 5.958 Å, I = 14, hkl 1 1 0
- 22.60°, 3.935 Å, I = 33, hkl 2 0 0
- 24.00°, 3.707 Å, I = 100, hkl 0 2 1
- 27.04°, 3.298 Å, I = 31, hkl 2 2 -1
- 28.07°, 3.179 Å, I = 14, hkl 0 0 2
- 37.68°, 2.387 Å, I = 13, hkl 4 0 -2
- 38.50°, 2.338 Å, I = 23, hkl 2 2 1
- 39.52°, 2.280 Å, I = 11, hkl 0 4 0
- 40.23°, 2.242 Å, I = 20, hkl 2 2 -3
- 44.41°, 2.040 Å, I = 11, hkl 4 2 -1
- 45.98°, 1.974 Å, I = 20, hkl 4 2 -3
- 49.15°, 1.854 Å, I = 12, hkl 0 4 2

Structure:
```
data_Cs3NpF7
_chemical_formula_sum 'Cs6 Np2 F14'
_cell_length_a 9.5662
_cell_length_b 9.1209
_cell_length_c 7.7285
_cell_angle_alpha 90.00
_cell_angle_beta 124.65
_cell_angle_gamma 90.00
_space_group_name_H-M_alt 'C 1 m 1'
_space_group_IT_number 8
_space_group_name_Hall 'C -2y'
loop_
_atom_site_label
_atom_site_type_symbol
_atom_site_fract_x
_atom_site_fract_y
_atom_site_fract_z
_atom_site_occupancy
Cs1 Cs 0.0000 0.0000 0.0000 1
Cs2 Cs 0.9998 0.2609 0.4871 1
Np1 Np 0.0406 0.5000 0.0171 1
F1 F 0.1283 0.2966 0.2175 1
F2 F 0.1325 0.5000 0.8058 1
F3 F 0.3376 0.5000 0.2297 1
F4 F 0.3706 0.0000 0.1281 1
F5 F 0.3727 0.1686 0.7816 1
```